[1]
Diffraction record for Sm3Gd. The X-ray powder pattern is calculated, not measured: it uses a DFT-relaxed cell (PBE, the Materials Project) and Cu Kα.

Structure:
```
data_Sm3Gd
_space_group_name_H-M_alt 'P 63/m m c'
_space_group_IT_number 194
_space_group_name_Hall '-P 6c 2c'
_cell_length_a 7.2743
_cell_length_b 7.2743
_cell_length_c 5.8844
_cell_angle_alpha 90.00
_cell_angle_beta 90.00
_cell_angle_gamma 120.00
loop_
_atom_site_label
_atom_site_type_symbol
_atom_site_fract_x
_atom_site_fract_y
_atom_site_fract_z
Sm1 Sm 0.1693 0.3385 0.2500
Gd1 Gd 0.3333 0.6667 0.7500
```

Largest 10 diffraction maxima, by angle, 2θ from 10° to 80°:
- 3.150 Å, 2θ = 28.3°, intensity 23.3
- 2.942 Å, 2θ = 30.4°, intensity 26.0
- 2.777 Å, 2θ = 32.2°, intensity 100.0
- 2.150 Å, 2θ = 42.0°, intensity 16.1
- 1.819 Å, 2θ = 50.2°, intensity 19.3
- 1.665 Å, 2θ = 55.2°, intensity 21.8
- 1.547 Å, 2θ = 59.8°, intensity 22.8
- 1.521 Å, 2θ = 60.9°, intensity 16.1
- 1.389 Å, 2θ = 67.5°, intensity 3.9
- 1.228 Å, 2θ = 77.8°, intensity 7.9

---

[2]
Diffraction record for SmGd3. The X-ray powder pattern is calculated, not measured: it uses a DFT-relaxed cell (PBE, the Materials Project) and Cu Kα.

Structure:
```
data_SmGd3
_space_group_name_H-M_alt 'I 4/m m m'
_space_group_IT_number 139
_space_group_name_Hall '-I 4 2'
_cell_length_a 5.0862
_cell_length_b 5.0862
_cell_length_c 10.2084
_cell_angle_alpha 90.00
_cell_angle_beta 90.00
_cell_angle_gamma 90.00
loop_
_atom_site_label
_atom_site_type_symbol
_atom_site_fract_x
_atom_site_fract_y
_atom_site_fract_z
Sm1 Sm 0.0000 0.0000 0.0000
Gd1 Gd 0.0000 0.0000 0.5000
Gd2 Gd 0.0000 0.5000 0.2500
```

Largest 9 diffraction maxima, by angle, 2θ from 10° to 80°:
- 2.940 Å, 2θ = 30.4°, intensity 100.0
- 2.552 Å, 2θ = 35.2°, intensity 17.0
- 2.543 Å, 2θ = 35.3°, intensity 33.7
- 1.800 Å, 2θ = 50.7°, intensity 36.2
- 1.538 Å, 2θ = 60.2°, intensity 14.4
- 1.534 Å, 2θ = 60.3°, intensity 28.6
- 1.470 Å, 2θ = 63.3°, intensity 12.4
- 1.276 Å, 2θ = 74.3°, intensity 1.9
- 1.272 Å, 2θ = 74.6°, intensity 3.8

---

[3]
Diffraction record for SmGdZn2. The X-ray powder pattern is calculated, not measured: it uses a DFT-relaxed cell (PBE, the Materials Project) and Cu Kα.

Structure:
```
data_SmGdZn2
_space_group_name_H-M_alt 'F m -3 m'
_space_group_IT_number 225
_space_group_name_Hall '-F 4 2 3'
_cell_length_a 7.2669
_cell_length_b 7.2669
_cell_length_c 7.2669
_cell_angle_alpha 90.00
_cell_angle_beta 90.00
_cell_angle_gamma 90.00
loop_
_atom_site_label
_atom_site_type_symbol
_atom_site_fract_x
_atom_site_fract_y
_atom_site_fract_z
Sm1 Sm 0.0000 0.0000 0.0000
Gd1 Gd 0.0000 0.0000 0.5000
Zn1 Zn 0.2500 0.2500 0.2500
```

Largest 8 diffraction maxima, by angle, 2θ from 10° to 80°:
- 3.633 Å, 2θ = 24.5°, intensity 16.0
- 2.569 Å, 2θ = 34.9°, intensity 100.0
- 2.098 Å, 2θ = 43.1°, intensity 4.9
- 1.817 Å, 2θ = 50.2°, intensity 17.7
- 1.625 Å, 2θ = 56.6°, intensity 6.8
- 1.483 Å, 2θ = 62.6°, intensity 35.9
- 1.285 Å, 2θ = 73.8°, intensity 11.0
- 1.211 Å, 2θ = 79.1°, intensity 3.4

---

[4]
Diffraction record for GdSn2. The X-ray powder pattern is calculated, not measured: it uses a DFT-relaxed cell (PBE, the Materials Project) and Cu Kα.

Structure:
```
data_GdSn2
_space_group_name_H-M_alt 'C m c m'
_space_group_IT_number 63
_space_group_name_Hall '-C 2c 2'
_cell_length_a 4.4871
_cell_length_b 16.4614
_cell_length_c 4.3948
_cell_angle_alpha 90.00
_cell_angle_beta 90.00
_cell_angle_gamma 90.00
loop_
_atom_site_label
_atom_site_type_symbol
_atom_site_fract_x
_atom_site_fract_y
_atom_site_fract_z
Gd1 Gd 0.0000 0.0979 0.2500
Sn1 Sn 0.0000 0.2505 0.7500
Sn2 Sn 0.0000 0.4361 0.2500
```

Largest 10 diffraction maxima, by angle, 2θ from 10° to 80°:
- 2.744 Å, 2θ = 32.6°, intensity 20.4
- 2.725 Å, 2θ = 32.9°, intensity 100.0
- 2.244 Å, 2θ = 40.2°, intensity 15.6
- 2.197 Å, 2θ = 41.1°, intensity 14.7
- 1.737 Å, 2θ = 52.7°, intensity 10.8
- 1.715 Å, 2θ = 53.4°, intensity 10.4
- 1.580 Å, 2θ = 58.4°, intensity 10.7
- 1.570 Å, 2θ = 58.8°, intensity 10.4
- 1.371 Å, 2θ = 68.4°, intensity 13.4
- 1.350 Å, 2θ = 69.7°, intensity 12.4